# 1
# Cs2ScF6
Computed powder XRD pattern, Cu Ka. Input: DFT lattice parameters and positions (PBE).

Principal peaks in the range 2θ = 10–90°, sorted by position:
index	d_spacing	I (rel.)
1 0 1	4.985	254
1 0 2	3.808	1000
1 1 0	3.296	751
2 0 1	2.750	224
2 0 2	2.492	746
1 1 4	2.020	211
2 1 2	1.988	290
2 2 0	1.648	246

Crystal structure
Unit cell a=6.5929 b=6.5929 c=10.2222 alpha=90.00 beta=90.00 gamma=120.00
Space group P6_3mc (No. 186)
Symmetry-distinct sites (fractional):
Cs (0.0000, 0.0000, 0.0000) x2
Cs (0.3333, 0.6667, 0.2719) x2
Sc (0.3333, 0.6667, 0.6732) x2
F (0.0528, 0.5264, 0.5469) x6
F (0.1794, 0.3587, 0.7682) x6



# 2
# Cs3Sc2F9
Computed powder XRD pattern, Cu Ka. Input: DFT lattice parameters and positions (PBE).

Principal peaks in the range 2θ = 10–90°, sorted by position:
index	d_spacing	I (rel.)
1 1 3	3.777	1000
3 0 0	3.283	725
0 0 6	2.526	157
2 2 3	2.478	835
1 4 3	1.978	263
2 2 6	1.888	177
6 0 0	1.641	178
5 2 3	1.505	159

Crystal structure
Unit cell a=11.3722 b=11.3722 c=15.1553 alpha=90.00 beta=90.00 gamma=120.00
Space group R-3c (No. 167, hexagonal axes)
Symmetry-distinct sites (fractional):
Cs (0.0000, 0.3404, 0.2500) x18
Sc (0.0000, 0.0000, 0.1480) x12
F (0.0000, 0.1324, 0.7500) x18
F (0.0032, 0.1572, 0.4076) x36



# 3
# Cs3ScF6
Computed powder XRD pattern, Cu Ka. Input: DFT lattice parameters and positions (PBE).

Principal peaks in the range 2θ = 10–90°, sorted by position:
index	d_spacing	I (rel.)
1 1 2	3.451	1000
2 0 0	3.400	573
0 0 4	2.477	185
2 2 0	2.404	282
2 0 4	2.002	230
3 1 2	1.973	449
2 2 4	1.725	182
4 2 4	1.296	147

Crystal structure
Unit cell a=6.801 b=6.801 c=9.909 alpha=90.00 beta=90.00 gamma=90.00
Space group P4/mnc (No. 128)
Symmetry-distinct sites (fractional):
Cs (0.000, 0.000, 0.000) x2
Cs (0.000, 0.500, 0.250) x4
Sc (0.000, 0.000, 0.500) x2
F (0.000, 0.000, 0.293) x4
F (0.138, 0.268, 0.500) x8



# 4
# CsSr2ScF8
Computed powder XRD pattern, Cu Ka. Input: DFT lattice parameters and positions (PBE).

Principal peaks in the range 2θ = 10–90°, sorted by position:
index	d_spacing	I (rel.)
1 0 -1	3.844	699
0 2 1	3.311	1000
1 0 1	3.240	597
1 2 0	3.010	438
2 0 0	2.229	286
1 2 -2	2.195	607
1 2 2	1.951	349
2 2 -1	1.943	254

Crystal structure
Unit cell a=4.528 b=8.160 c=5.752 alpha=90.00 beta=100.03 gamma=90.00
Space group P2/m (No. 10)
Symmetry-distinct sites (fractional):
Cs (0.000, 0.000, 0.000) x1
Sr (0.500, 0.256, 0.500) x2
Sc (0.000, 0.500, 0.000) x1
F (0.055, 0.317, 0.761) x4
F (0.415, 0.500, 0.218) x2
F (0.425, 0.000, 0.702) x2



# 5
# CsScTlF6
Computed powder XRD pattern, Cu Ka. Input: DFT lattice parameters and positions (PBE).

Principal peaks in the range 2θ = 10–90°, sorted by position:
index	d_spacing	I (rel.)
1 0 0	5.976	129
0 1 1	5.347	143
1 1 0	3.985	1000
0 2 1	3.087	330
1 0 -2	2.440	249
2 1 2	2.147	387
1 2 -1	1.914	278
0 3 3	1.782	118

Crystal structure
Unit cell a=5.976 b=6.170 c=6.175 alpha=60.04 beta=89.97 gamma=89.93
Space group P1 (No. 1)
Symmetry-distinct sites (fractional):
Cs (0.000, 0.000, 0.000) x1
Sc (0.497, 0.667, 0.667) x1
Tl (0.500, 0.333, 0.333) x1
F (0.303, 0.413, 0.956) x1
F (0.303, 0.631, 0.413) x1
F (0.303, 0.957, 0.631) x1
F (0.691, 0.409, 0.637) x1
F (0.691, 0.637, 0.954) x1
F (0.691, 0.954, 0.409) x1